The following is a theoretical powder X-ray diffraction pattern of La5Bi4N. It was derived from a cell relaxed with PBE, using Cu Kα X-rays.
Peak positions follow from Bragg's law for the DFT cell and can differ from measured ones.

The 10 most intense peaks (10° ≤ 2θ ≤ 90°), in order of rising 2θ:
| d/Å | I_rel |
| --- | --- |
| 3.722 | 130 |
| 3.310 | 530 |
| 3.182 | 1000 |
| 2.994 | 187 |
| 2.572 | 143 |
| 2.294 | 780 |
| 2.250 | 322 |
| 1.861 | 333 |
| 1.468 | 172 |
| 1.307 | 142 |

Crystal structure
a b c (Å): 7.847 7.847 7.847
angles (deg): 100.25 100.25 130.11
Sites, in units of the cell vectors:
La1 0.000 0.000 0.000
La2 0.154 0.324 0.643
La3 0.324 0.681 0.170
La4 0.511 0.154 0.830
La5 0.681 0.511 0.357
Bi1 0.000 0.606 0.780
Bi2 0.220 0.000 0.394
Bi3 0.606 0.826 0.606
Bi4 0.826 0.220 0.220
N1 0.344 0.344 0.000